Starting from a DFT-relaxed cell (GGA-PBE, the Materials Project), the powder diffraction line list of Li2Cu2S3O12 was calculated for Cu Kα.

Main lines, sorted by position (2θ = 5–70°):
| 2θ/deg | I/Imax |
| --- | --- |
| 14.42 | 85.4 |
| 19.43 | 39.9 |
| 22.23 | 39.1 |
| 23.97 | 85.4 |
| 25.00 | 100.0 |
| 25.30 | 66.7 |
| 27.48 | 43.9 |
| 30.88 | 89.8 |
| 31.59 | 57.5 |
| 32.07 | 56.5 |

Structure:
a b c (Å): 7.912 7.912 9.244
angles (deg): 115.02 115.02 63.95
Fractional coordinates of all 38 atoms:
Li 0.140 0.325 0.050
Li 0.325 0.140 0.550
Li 0.675 0.860 0.450
Li 0.860 0.675 0.950
Cu 0.131 0.637 0.477
Cu 0.363 0.869 0.023
Cu 0.637 0.131 0.977
Cu 0.869 0.363 0.523
S 0.048 0.952 0.250
S 0.248 0.457 0.827
S 0.457 0.248 0.327
S 0.543 0.752 0.673
S 0.752 0.543 0.173
S 0.952 0.048 0.750
O 0.039 0.146 0.386
O 0.085 0.796 0.315
O 0.125 0.440 0.647
O 0.131 0.505 0.935
O 0.146 0.039 0.886
O 0.204 0.915 0.185
O 0.254 0.395 0.316
O 0.346 0.602 0.879
O 0.395 0.254 0.816
O 0.398 0.654 0.621
O 0.440 0.125 0.147
O 0.495 0.869 0.565
O 0.505 0.131 0.435
O 0.560 0.875 0.853
O 0.602 0.346 0.379
O 0.605 0.746 0.184
O 0.654 0.398 0.121
O 0.746 0.605 0.684
O 0.796 0.085 0.815
O 0.854 0.961 0.114
O 0.869 0.495 0.065
O 0.875 0.560 0.353
O 0.915 0.204 0.685
O 0.961 0.854 0.614